This entry pairs a crystal structure of Na3CrH14C6O16 with its calculated XRD peak list. Radiation: Cu Ka. Structure: a structure optimized by DFT (GGA+U).
Peak positions follow from Bragg's law for the DFT cell and can differ from measured ones.

Most intense lines, 10° ≤ 2θ ≤ 90°, low angle first:
d 8.635, 10.24 deg, intensity 100.0, hkl 0 0 1; d 5.013, 17.69 deg, intensity 24.4, hkl 1 1 1; d 3.509, 25.39 deg, intensity 32.9, hkl 1 2 0; d 2.862, 31.25 deg, intensity 28.5, hkl 0 1 3; d 2.815, 31.79 deg, intensity 20.2, hkl 2 1 -1; d 2.632, 34.07 deg, intensity 17.4, hkl 2 -1 1

a = 6.529 Å, b = 7.741 Å, c = 8.839 Å
α = 78.61°, β = 83.12°, γ = 78.50°
Space group P-1 (No. 2)
Asymmetric unit:
Na 0.000 0.000 0.000 (multiplicity 1)
Na 0.293 0.049 0.631 (multiplicity 2)
Cr 0.000 0.500 0.500 (multiplicity 1)
H 0.049 0.757 0.751 (multiplicity 2)
H 0.109 0.061 0.291 (multiplicity 2)
H 0.211 0.457 0.916 (multiplicity 2)
H 0.302 0.481 0.210 (multiplicity 2)
H 0.392 0.770 0.935 (multiplicity 2)
H 0.397 0.654 0.459 (multiplicity 2)
H 0.453 0.819 0.085 (multiplicity 2)
C 0.189 0.397 0.816 (multiplicity 2)
C 0.272 0.769 0.423 (multiplicity 2)
C 0.365 0.363 0.296 (multiplicity 2)
O 0.015 0.881 0.768 (multiplicity 2)
O 0.089 0.737 0.414 (multiplicity 2)
O 0.100 0.515 0.706 (multiplicity 2)
O 0.251 0.234 0.819 (multiplicity 2)
O 0.275 0.350 0.435 (multiplicity 2)
O 0.317 0.924 0.391 (multiplicity 2)
O 0.333 0.798 0.038 (multiplicity 2)
O 0.481 0.748 0.744 (multiplicity 2)